Simulated powder XRD pattern of Ac3Ga3Ir for a wavelength of 1.5418 Å, from a DFT-relaxed cell (GGA-PBE, Alexandria).
Kinematic intensities with the Lorentz-polarization factor, no thermal factor.

Atomic structure:
a b c (Å): 11.7583 4.5217 15.2858
angles (deg): 90.00 108.12 90.00
Space group C2/m (No. 12)
One atom of each set of equivalent atoms:
1 Ac 0.0198 0.0000 0.3858 x4
2 Ac 0.1145 0.0000 0.9197 x4
3 Ac 0.2376 0.0000 0.2385 x4
4 Ga 0.0354 0.5000 0.2341 x4
5 Ga 0.0955 0.5000 0.0743 x4
6 Ga 0.1770 0.5000 0.5366 x4
7 Ir 0.2357 0.5000 0.3838 x4

Most intense lines, 10 to 90 degrees two-theta, in order of rising 2θ:
- 2θ 29.77, rel. 100.0
- 2θ 30.20, rel. 81.0
- 2θ 30.54, rel. 54.4
- 2θ 30.64, rel. 99.2
- 2θ 36.26, rel. 66.0
- 2θ 37.10, rel. 67.3
- 2θ 39.87, rel. 67.6
- 2θ 49.68, rel. 38.4
- 2θ 55.59, rel. 42.3
- 2θ 58.64, rel. 40.2